# 1
Structure and computed X-ray powder pattern of Nd12GaPd6 (a structure optimized by DFT (GGA-PBE); Cu Ka).
Peak positions follow from Bragg's law for the DFT cell and can differ from measured ones.

Cell and atoms:
```
Nd12GaPd6
1.0
6.6248 3.8249 3.9366
-6.6248 3.8249 3.9366
0.0000 -7.6497 3.9366
Nd Ga Pd
12 1 6
direct
0.0603 0.9172 0.6748
0.0828 0.3252 0.9397
0.1782 0.5727 0.4112
0.3252 0.9397 0.0828
0.4112 0.1782 0.5727
0.4273 0.5888 0.8218
0.5727 0.4112 0.1782
0.5888 0.8218 0.4273
0.6748 0.0603 0.9172
0.8218 0.4273 0.5888
0.9172 0.6748 0.0603
0.9397 0.0828 0.3252
0.0000 0.0000 0.0000
0.1364 0.3214 0.6155
0.3214 0.6155 0.1364
0.3845 0.8636 0.6786
0.6155 0.1364 0.3214
0.6786 0.3845 0.8636
0.8636 0.6786 0.3845
```

Most intense lines, 10 to 90 degrees two-theta, in order of rising 2θ:
2theta, d_spacing, I/Imax
21.8, 4.071, 43
25.5, 3.495, 60
26.9, 3.312, 26
31.3, 2.859, 37
31.9, 2.801, 40
35.9, 2.504, 100
36.8, 2.441, 72
54.2, 1.691, 31

***

# 2
Structure and computed X-ray powder pattern of Nd3GaPd (a structure optimized by DFT (GGA-PBE); Cu Ka).
Peak positions follow from Bragg's law for the DFT cell and can differ from measured ones.

Cell and atoms:
```
Nd3GaPd
1.0
6.9614 0.0000 0.0000
0.0000 4.6465 0.0000
-2.1321 0.0000 8.6602
Nd Ga Pd
6 2 2
direct
0.0000 0.0000 0.0000
0.0110 0.0000 0.4223
0.1559 0.5000 0.7421
0.4564 0.0000 0.2871
0.5975 0.0000 0.6764
0.6433 0.5000 0.0548
0.1134 0.5000 0.2172
0.7391 0.5000 0.4764
0.3585 0.5000 0.4901
0.3952 0.0000 0.9287
```

Most intense lines, 10 to 90 degrees two-theta, in order of rising 2θ:
2theta, d_spacing, I/Imax
26.7, 3.339, 40
29.0, 3.083, 95
32.4, 2.764, 47
32.8, 2.733, 85
33.3, 2.693, 100
35.8, 2.511, 39
36.6, 2.452, 45
38.8, 2.323, 86